Entry 1:
The following is a theoretical XRD peak list of Pm6YMg. It was derived from a crystal structure in Alexandria, relaxed with PBE, using CuKα.

Cell and atoms:
abc: 5.0802 5.0802 20.3095
angles: 90.00 90.00 90.00
Space group I4/mmm (No. 139)
Unique sites:
Pm1 0.0000 0.0000 0.2482 (multiplicity 4)
Pm2 0.0000 0.5000 0.1221 (multiplicity 8)
Y1 0.0000 0.0000 0.0000 (multiplicity 2)
Mg1 0.0000 0.0000 0.5000 (multiplicity 2)

Largest 10 diffraction maxima, low angle first, 2θ = 15–90°:
two_theta	Rel. int.
17.5	2.9
26.3	7.8
30.5	100.0
35.3	50.4
50.8	35.6
60.4	42.0
63.4	12.1
74.8	5.6
82.8	17.0
85.5	15.9

Entry 2:
The following is a theoretical XRD peak list of Pm5YMg. It was derived from a crystal structure in Alexandria, relaxed with PBE, using CuKα.

Cell and atoms:
abc: 12.2676 5.6317 13.3892
angles: 90.00 95.76 90.00
Space group C2/m (No. 12)
Unique sites:
Pm1 0.0641 0.0000 0.1345 (multiplicity 4)
Pm2 0.0650 0.0000 0.6325 (multiplicity 4)
Pm3 0.1372 0.5000 0.8050 (multiplicity 4)
Pm4 0.2425 0.0000 0.4254 (multiplicity 4)
Pm5 0.2426 0.0000 0.9250 (multiplicity 4)
Y1 0.1342 0.5000 0.3053 (multiplicity 4)
Mg1 0.0000 0.5000 0.0000 (multiplicity 2)
Mg2 0.0000 0.5000 0.5000 (multiplicity 2)

Largest 10 diffraction maxima, low angle first, 2θ = 15–90°:
two_theta	Rel. int.
29.2	26.9
31.0	44.3
31.2	100.0
31.4	97.5
31.8	57.7
44.8	16.8
45.0	31.6
56.0	17.3
56.3	18.7
56.4	18.6

Entry 3:
The following is a theoretical XRD peak list of Pm2Mg5Zn4. It was derived from a crystal structure in Alexandria, relaxed with PBE, using CuKα.

Cell and atoms:
abc: 6.1412 11.2777 14.6622
angles: 90.00 90.00 90.00
Space group Fmmm (No. 69)
Unique sites:
Pm1 0.0000 0.0000 0.1449 (multiplicity 8)
Mg1 0.0000 0.0000 0.5000 (multiplicity 4)
Mg2 0.2500 0.2500 0.0000 (multiplicity 8)
Mg3 0.2500 0.2500 0.2500 (multiplicity 8)
Zn1 0.0000 0.1135 0.3486 (multiplicity 16)

Largest 10 diffraction maxima, low angle first, 2θ = 15–90°:
two_theta	Rel. int.
15.7	51.4
24.3	35.9
28.5	46.0
29.1	96.2
33.2	55.7
33.4	100.0
38.2	55.3
46.8	58.5
52.2	24.0
54.4	24.5

Entry 4:
The following is a theoretical XRD peak list of PmMg10Zn2. It was derived from a crystal structure in Alexandria, relaxed with PBE, using CuKα.

Cell and atoms:
abc: 5.8043 14.0586 14.1385
angles: 90.00 90.00 90.00
Space group Fmmm (No. 69)
Unique sites:
Pm1 0.0000 0.0000 0.0000 (multiplicity 4)
Mg1 0.0000 0.1112 0.3971 (multiplicity 16)
Mg2 0.0000 0.1796 0.1681 (multiplicity 16)
Mg3 0.2500 0.0000 0.2500 (multiplicity 8)
Zn1 0.2500 0.2500 0.0000 (multiplicity 8)

Largest 10 diffraction maxima, low angle first, 2θ = 15–90°:
two_theta	Rel. int.
17.7	30.2
25.2	56.7
25.3	14.9
28.3	24.4
31.0	37.3
35.8	100.0
36.0	78.1
42.3	20.1
51.7	16.1
64.6	25.3

Entry 5:
The following is a theoretical XRD peak list of PmMg3Zn3. It was derived from a crystal structure in Alexandria, relaxed with PBE, using CuKα.

Cell and atoms:
abc: 8.4440 4.7362 8.4570
angles: 90.00 119.95 90.00
Space group P2_1/m (No. 11)
Unique sites:
Pm1 0.1670 0.2500 0.3330 (multiplicity 2)
Mg1 0.2521 0.2500 0.9794 (multiplicity 2)
Mg2 0.2718 0.7500 0.7516 (multiplicity 2)
Mg3 0.4799 0.7500 0.2282 (multiplicity 2)
Zn1 0.0250 0.2500 0.6037 (multiplicity 2)
Zn2 0.1038 0.7500 0.0784 (multiplicity 2)
Zn3 0.4208 0.7500 0.5248 (multiplicity 2)

Largest 10 diffraction maxima, low angle first, 2θ = 15–90°:
two_theta	Rel. int.
21.0	9.9
30.9	30.3
32.4	24.2
37.7	100.0
38.0	23.7
50.7	13.3
57.7	10.3
68.4	19.5
71.1	10.0
71.2	10.8

Entry 6:
The following is a theoretical XRD peak list of Pm5MgZn3. It was derived from a crystal structure in Alexandria, relaxed with PBE, using CuKα.

Cell and atoms:
abc: 9.0615 9.0615 6.7300
angles: 90.00 90.00 120.00
Space group P6_3/mcm (No. 193)
Unique sites:
Pm1 0.0000 0.3143 0.2500 (multiplicity 6)
Pm2 0.3333 0.6667 0.0000 (multiplicity 4)
Mg1 0.0000 0.0000 0.0000 (multiplicity 2)
Zn1 0.0000 0.3465 0.7500 (multiplicity 6)

Largest 10 diffraction maxima, low angle first, 2θ = 15–90°:
two_theta	Rel. int.
23.7	20.8
33.2	99.8
34.3	100.0
43.8	10.8
48.4	33.2
60.7	32.1
61.4	16.6
66.0	29.2
81.8	13.8
86.6	12.7

Entry 7:
The following is a theoretical XRD peak list of Pm2Mg3Zn2. It was derived from a crystal structure in Alexandria, relaxed with PBE, using CuKα.

Cell and atoms:
abc: 10.3317 4.5853 7.2200
angles: 90.00 97.41 90.00
Space group C2/m (No. 12)
Unique sites:
Pm1 0.1257 0.0000 0.3537 (multiplicity 4)
Mg1 0.0000 0.5000 0.0000 (multiplicity 2)
Mg2 0.1857 0.0000 0.8632 (multiplicity 4)
Zn1 0.0827 0.5000 0.6531 (multiplicity 4)

Largest 10 diffraction maxima, low angle first, 2θ = 15–90°:
two_theta	Rel. int.
25.2	66.2
32.0	69.8
32.7	42.9
33.8	100.0
35.0	25.1
37.7	27.5
39.3	66.0
43.6	29.1
57.0	20.7
66.7	23.7

Entry 8:
The following is a theoretical XRD peak list of Pm3Mg2Zn2. It was derived from a crystal structure in Alexandria, relaxed with PBE, using CuKα.

Cell and atoms:
abc: 3.8860 6.2818 7.9239
angles: 100.22 90.10 107.78
Space group P-1 (No. 2)
Unique sites:
Pm1 0.0000 0.0000 0.0000 (multiplicity 1)
Pm2 0.3634 0.7251 0.6382 (multiplicity 2)
Mg1 0.3008 0.6016 0.1458 (multiplicity 2)
Zn1 0.0815 0.1605 0.6415 (multiplicity 2)

Largest 10 diffraction maxima, low angle first, 2θ = 15–90°:
two_theta	Rel. int.
15.1	16.7
17.1	28.9
27.4	60.9
29.8	21.9
32.4	100.0
32.5	29.4
34.6	86.4
46.7	26.1
51.4	18.8
59.4	19.8

Entry 9:
The following is a theoretical XRD peak list of Pr5Mg41. It was derived from a crystal structure in Alexandria, relaxed with PBE, using CuKα.

Cell and atoms:
abc: 14.7250 14.7250 10.4188
angles: 90.00 90.00 90.00
Space group I4/m (No. 87)
Unique sites:
Pr1 0.0000 0.0000 0.0000 (multiplicity 2)
Pr2 0.0716 0.2634 0.5000 (multiplicity 8)
Mg1 0.0000 0.0000 0.5000 (multiplicity 2)
Mg2 0.0097 0.4027 0.0000 (multiplicity 8)
Mg3 0.0611 0.2270 0.1466 (multiplicity 16)
Mg4 0.0760 0.6330 0.2582 (multiplicity 16)
Mg5 0.0760 0.8644 0.3096 (multiplicity 16)
Mg6 0.1217 0.7800 0.0000 (multiplicity 8)
Mg7 0.1590 0.7164 0.5000 (multiplicity 8)
Mg8 0.2500 0.2500 0.2500 (multiplicity 8)

Largest 10 diffraction maxima, low angle first, 2θ = 15–90°:
two_theta	Rel. int.
15.9	100.0
17.0	34.3
19.1	40.9
25.7	48.7
29.1	63.1
31.6	63.6
32.2	73.5
33.9	38.5
35.5	79.5
36.1	55.9

Entry 10:
The following is a theoretical XRD peak list of PrMg12. It was derived from a crystal structure in Alexandria, relaxed with PBE, using CuKα.

Cell and atoms:
abc: 10.2343 10.2343 6.0152
angles: 90.00 90.00 90.00
Space group I4/mmm (No. 139)
Unique sites:
Pr1 0.0000 0.0000 0.0000 (multiplicity 2)
Mg1 0.0000 0.2127 0.5000 (multiplicity 8)
Mg2 0.0000 0.3500 0.0000 (multiplicity 8)
Mg3 0.2500 0.2500 0.2500 (multiplicity 8)

Largest 10 diffraction maxima, low angle first, 2θ = 15–90°:
two_theta	Rel. int.
17.1	43.2
24.4	65.3
27.6	27.9
30.1	58.0
34.6	65.2
35.0	100.0
35.1	43.5
56.2	24.9
62.6	19.7
62.8	20.4

Entry 11:
The following is a theoretical XRD peak list of PrMg6. It was derived from a crystal structure in Alexandria, relaxed with PBE, using CuKα.

Cell and atoms:
abc: 6.1708 6.1708 9.6204
angles: 90.00 90.00 90.00
Space group P4/nbm (No. 125, origin choice 2)
Unique sites:
Pr1 0.2500 0.7500 0.0000 (multiplicity 2)
Mg1 0.0774 0.5774 0.3609 (multiplicity 8)
Mg2 0.2500 0.2500 0.1523 (multiplicity 4)

Largest 10 diffraction maxima, low angle first, 2θ = 15–90°:
two_theta	Rel. int.
20.4	38.7
22.4	46.0
27.6	70.8
30.4	100.0
34.5	29.5
34.7	71.6
41.4	25.1
47.5	27.0
50.5	31.0
61.2	31.1

Entry 12:
The following is a theoretical XRD peak list of Pr5Mg2. It was derived from a crystal structure in Alexandria, relaxed with PBE, using CuKα.

Cell and atoms:
abc: 8.2653 15.7807 7.1592
angles: 90.00 90.00 90.00
Space group Cccm (No. 66)
Unique sites:
Pr1 0.0000 0.0000 0.2500 (multiplicity 4)
Pr2 0.0000 0.2339 0.2500 (multiplicity 8)
Pr3 0.1778 0.4077 0.0000 (multiplicity 8)
Mg1 0.2279 0.3781 0.5000 (multiplicity 8)

Largest 10 diffraction maxima, low angle first, 2θ = 15–90°:
two_theta	Rel. int.
23.6	48.1
27.4	50.1
27.7	55.7
30.3	46.5
31.3	84.6
33.0	39.5
33.1	94.7
33.8	100.0
50.9	42.5
51.0	32.5